Record 1
# Pm3SmY2Er6
Simulated powder diffractogram, copper Kα. Input: a cell relaxed with PBE.
Intensities are scaled so that the largest is 100.

Top 6 peaks for 2θ = 5–70°, in order of falling intensity:
2θ = 30.7°, d = 2.911 Å, I 100; 2θ = 35.7°, d = 2.518 Å, I 67; 2θ = 30.9°, d = 2.897 Å, I 33; 2θ = 51.2°, d = 1.783 Å, I 24; 2θ = 51.4°, d = 1.777 Å, I 24; 2θ = 60.9°, d = 1.520 Å, I 24

Cell: 6.177 6.177 11.768 Å, 95.00 95.00 119.97°
Fractional positions:
Pm: 0.000 0.000 0.000
Pm: 0.333 0.667 0.000
Pm: 0.667 0.333 0.000
Sm: 0.500 0.500 0.500
Y: 0.167 0.833 0.500
Y: 0.833 0.167 0.500
Er: 0.084 0.417 0.251
Er: 0.250 0.250 0.749
Er: 0.417 0.084 0.251
Er: 0.583 0.916 0.749
Er: 0.750 0.750 0.251
Er: 0.916 0.583 0.749



Record 2
# PmSm3YEr
Simulated powder diffractogram, copper Kα. Input: a cell relaxed with PBE.
Intensities are scaled so that the largest is 100.

Top 6 peaks for 2θ = 5–70°, in order of falling intensity:
2θ = 33.2°, d = 2.700 Å, I 100; 2θ = 29.9°, d = 2.990 Å, I 75; 2θ = 30.9°, d = 2.890 Å, I 61; 2θ = 34.6°, d = 2.593 Å, I 34; 2θ = 31.5°, d = 2.838 Å, I 28; 2θ = 56.5°, d = 1.630 Å, I 22

Cell: 10.557 10.557 6.844 Å, 90.12 90.12 31.78°
Fractional positions:
Pm: 0.145 0.145 0.019
Pm: 0.855 0.855 0.981
Sm: 0.019 0.019 0.743
Sm: 0.280 0.280 0.755
Sm: 0.339 0.339 0.265
Sm: 0.661 0.661 0.735
Sm: 0.720 0.720 0.245
Sm: 0.981 0.981 0.257
Y: 0.443 0.443 0.739
Y: 0.557 0.557 0.261
Er: 0.147 0.147 0.467
Er: 0.853 0.853 0.533



Record 3
# Pm2Sm6YEr
Simulated powder diffractogram, copper Kα. Input: a cell relaxed with PBE.
Intensities are scaled so that the largest is 100.

Top 6 peaks for 2θ = 5–70°, in order of falling intensity:
2θ = 31.2°, d = 2.871 Å, I 100; 2θ = 30.3°, d = 2.947 Å, I 65; 2θ = 33.3°, d = 2.694 Å, I 61; 2θ = 30.7°, d = 2.908 Å, I 48; 2θ = 30.2°, d = 2.963 Å, I 48; 2θ = 28.2°, d = 3.165 Å, I 34

Cell: 8.936 8.936 9.731 Å, 94.08 94.08 118.43°
Fractional positions:
Pm: 0.197 0.303 0.043
Pm: 0.303 0.197 0.543
Pm: 0.697 0.803 0.457
Pm: 0.803 0.697 0.957
Sm: 0.018 0.573 0.189
Sm: 0.126 0.753 0.555
Sm: 0.247 0.874 0.945
Sm: 0.289 0.500 0.381
Sm: 0.427 0.982 0.311
Sm: 0.500 0.289 0.881
Sm: 0.500 0.711 0.119
Sm: 0.573 0.018 0.689
Sm: 0.711 0.500 0.619
Sm: 0.753 0.126 0.055
Sm: 0.874 0.247 0.445
Sm: 0.982 0.427 0.811
Y: 0.021 0.979 0.250
Y: 0.979 0.021 0.750
Er: 0.409 0.591 0.750
Er: 0.591 0.409 0.250